Structure and simulated powder diffraction line list of H8PtN2Cl2O2 (the PBE geometry in the Materials Project; copper Kα).

The 10 most intense peaks (2θ from 5° to 70°), low angle first:
17.5°, d = 5.065 Å, I = 100, hkl 0 1 1
18.0°, d = 4.938 Å, I = 98, hkl 1 1 0
19.0°, d = 4.681 Å, I = 80, hkl 1 0 1
23.3°, d = 3.813 Å, I = 49, hkl 0 2 0
30.2°, d = 2.956 Å, I = 23, hkl 1 2 1
30.6°, d = 2.925 Å, I = 15, hkl 2 0 -1
32.1°, d = 2.791 Å, I = 37, hkl 1 1 2
32.8°, d = 2.731 Å, I = 21, hkl 2 1 -1
37.8°, d = 2.380 Å, I = 18, hkl 0 3 1
38.0°, d = 2.366 Å, I = 18, hkl 1 3 0

Crystal structure
```
data_H8PtN2Cl2O2
_chemical_formula_sum 'H16 Pt2 N4 Cl4 O4'
_cell_length_a 6.479
_cell_length_b 7.626
_cell_length_c 6.774
_cell_angle_alpha 90.00
_cell_angle_beta 90.16
_cell_angle_gamma 90.00
_space_group_name_H-M_alt 'P 1 21/m 1'
_space_group_IT_number 11
loop_
_space_group_symop_operation_xyz
'x,y,z'
'-x,-y,-z'
'-x,y+1/2,-z'
'x,-y+1/2,z'
loop_
_atom_site_label
_atom_site_type_symbol
_atom_site_fract_x
_atom_site_fract_y
_atom_site_fract_z
H1 H 0.111 0.065 0.153
H2 H 0.131 0.071 0.401
H3 H 0.175 0.250 0.700
H4 H 0.178 0.750 0.912
H5 H 0.342 0.072 0.263
Pt1 Pt 0.206 0.750 0.273
N1 N 0.196 0.021 0.273
Cl1 Cl 0.355 0.750 0.591
Cl2 Cl 0.473 0.250 0.891
O1 O 0.063 0.750 0.006
O2 O 0.072 0.250 0.592
```